Record 1
Ho2Ge2Pd3: theoretical powder XRD pattern (Cu Kα X-rays), based on the PBE geometry in Alexandria.
Intensities are scaled so that the largest is 100.

Atomic structure:
a = 5.518 Å, b = 5.518 Å, c = 7.011 Å
α = 111.36°, β = 111.36°, γ = 42.07°
Element x y z (fractional)
Ho  0.128  0.128  0.264
Ho  0.872  0.872  0.736
Ge  0.157  0.157  0.715
Ge  0.843  0.843  0.285
Pd  0.378  0.378  0.064
Pd  0.500  0.500  0.500
Pd  0.622  0.622  0.936

The 6 most intense peaks (10° ≤ 2θ ≤ 80°), in order of rising 2θ:
34.19 deg, intensity 53.5; 34.69 deg, intensity 100.0; 37.95 deg, intensity 37.3; 38.57 deg, intensity 88.8; 39.95 deg, intensity 90.5; 45.82 deg, intensity 48.7

Record 2
SbPW2: theoretical powder XRD pattern (Cu Kα X-rays), based on the PBE geometry in Alexandria.
Intensities are scaled so that the largest is 100.

Atomic structure:
a = 7.041 Å, b = 7.041 Å, c = 7.041 Å
α = 154.20°, β = 152.20°, γ = 38.29°
Element x y z (fractional)
Sb  0.000  0.000  0.000
P  0.252  0.752  0.500
W  0.623  0.623  0.000
W  0.815  0.315  0.500

The 6 most intense peaks (10° ≤ 2θ ≤ 80°), in order of rising 2θ:
27.20 deg, intensity 62.1; 34.99 deg, intensity 89.0; 41.50 deg, intensity 100.0; 43.26 deg, intensity 57.1; 66.18 deg, intensity 28.2; 69.75 deg, intensity 24.9

Record 3
Hf2Sc: theoretical powder XRD pattern (Cu Kα X-rays), based on the PBE geometry in Alexandria.
Intensities are scaled so that the largest is 100.

Atomic structure:
a = 5.589 Å, b = 5.589 Å, c = 5.965 Å
α = 117.60°, β = 117.60°, γ = 60.13°
Element x y z (fractional)
Hf  0.086  0.245  0.255
Hf  0.245  0.086  0.755
Hf  0.755  0.914  0.245
Hf  0.914  0.755  0.745
Sc  0.412  0.588  0.250
Sc  0.588  0.412  0.750

The 6 most intense peaks (10° ≤ 2θ ≤ 80°), in order of rising 2θ:
19.21 deg, intensity 29.4; 21.77 deg, intensity 19.2; 32.00 deg, intensity 36.5; 35.64 deg, intensity 36.4; 36.70 deg, intensity 100.0; 36.86 deg, intensity 50.6

Record 4
Ho3NiCl3: theoretical powder XRD pattern (Cu Kα X-rays), based on the PBE geometry in Alexandria.
Intensities are scaled so that the largest is 100.

Atomic structure:
a = 11.102 Å, b = 11.102 Å, c = 11.102 Å
α = 34.42°, β = 34.42°, γ = 34.42°
Element x y z (fractional)
Ho  0.107  0.450  0.792
Ho  0.208  0.893  0.550
Ho  0.450  0.792  0.107
Ho  0.550  0.208  0.893
Ho  0.792  0.107  0.450
Ho  0.893  0.550  0.208
Ni  0.167  0.167  0.167
Ni  0.833  0.833  0.833
Cl  0.067  0.721  0.394
Cl  0.279  0.606  0.933
Cl  0.394  0.067  0.721
Cl  0.606  0.933  0.279
Cl  0.721  0.394  0.067
Cl  0.933  0.279  0.606

The 6 most intense peaks (10° ≤ 2θ ≤ 80°), in order of rising 2θ:
28.48 deg, intensity 36.9; 32.20 deg, intensity 100.0; 37.66 deg, intensity 21.4; 44.34 deg, intensity 31.1; 47.96 deg, intensity 27.3; 58.95 deg, intensity 16.9

Record 5
Tm6SbSe4: theoretical powder XRD pattern (Cu Kα X-rays), based on the PBE geometry in Alexandria.
Intensities are scaled so that the largest is 100.

Atomic structure:
a = 6.838 Å, b = 6.838 Å, c = 20.575 Å
α = 90.00°, β = 90.00°, γ = 146.02°
Element x y z (fractional)
Tm  0.000  0.000  0.000
Tm  0.000  0.000  0.500
Tm  0.149  0.851  0.750
Tm  0.268  0.732  0.098
Tm  0.268  0.732  0.402
Tm  0.445  0.555  0.665
Tm  0.445  0.555  0.835
Tm  0.555  0.445  0.165
Tm  0.555  0.445  0.335
Tm  0.732  0.268  0.598
Tm  0.732  0.268  0.902
Tm  0.851  0.149  0.250
Sb  0.177  0.823  0.250
Sb  0.823  0.177  0.750
Se  0.084  0.916  0.623
Se  0.084  0.916  0.877
Se  0.356  0.644  0.536
Se  0.356  0.644  0.964
Se  0.644  0.356  0.036
Se  0.644  0.356  0.464
Se  0.916  0.084  0.123
Se  0.916  0.084  0.377

The 6 most intense peaks (10° ≤ 2θ ≤ 80°), in order of rising 2θ:
29.41 deg, intensity 81.7; 30.66 deg, intensity 90.4; 31.59 deg, intensity 100.0; 42.36 deg, intensity 34.0; 45.17 deg, intensity 33.0; 45.40 deg, intensity 39.8

Record 6
YEr3Co: theoretical powder XRD pattern (Cu Kα X-rays), based on the PBE geometry in Alexandria.
Intensities are scaled so that the largest is 100.

Atomic structure:
a = 7.704 Å, b = 7.253 Å, c = 9.894 Å
α = 90.00°, β = 106.83°, γ = 90.00°
Element x y z (fractional)
Y  0.186  0.056  0.254
Y  0.186  0.444  0.754
Y  0.814  0.556  0.246
Y  0.814  0.944  0.746
Er  0.087  0.700  0.034
Er  0.087  0.800  0.534
Er  0.292  0.508  0.384
Er  0.292  0.992  0.884
Er  0.417  0.128  0.607
Er  0.417  0.372  0.107
Er  0.583  0.628  0.893
Er  0.583  0.872  0.393
Er  0.708  0.008  0.116
Er  0.708  0.492  0.616
Er  0.913  0.200  0.466
Er  0.913  0.300  0.966
Co  0.455  0.746  0.610
Co  0.455  0.754  0.110
Co  0.545  0.246  0.890
Co  0.545  0.254  0.390

The 6 most intense peaks (10° ≤ 2θ ≤ 80°), in order of rising 2θ:
30.02 deg, intensity 76.9; 31.03 deg, intensity 100.0; 31.30 deg, intensity 72.2; 34.70 deg, intensity 46.7; 35.97 deg, intensity 50.4; 38.43 deg, intensity 46.3

Record 7
TcOsPtRh3: theoretical powder XRD pattern (Cu Kα X-rays), based on the PBE geometry in Alexandria.
Intensities are scaled so that the largest is 100.

Atomic structure:
a = 6.141 Å, b = 6.141 Å, c = 7.720 Å
α = 90.00°, β = 90.00°, γ = 143.45°
Element x y z (fractional)
Tc  0.000  0.000  0.000
Tc  0.000  0.000  0.500
Os  0.499  0.501  0.750
Os  0.501  0.499  0.250
Pt  0.164  0.836  0.750
Pt  0.836  0.164  0.250
Rh  0.160  0.840  0.250
Rh  0.339  0.661  0.501
Rh  0.339  0.661  0.999
Rh  0.661  0.339  0.001
Rh  0.661  0.339  0.499
Rh  0.840  0.160  0.750

The 6 most intense peaks (10° ≤ 2θ ≤ 80°), in order of rising 2θ:
40.41 deg, intensity 100.0; 46.73 deg, intensity 16.2; 47.09 deg, intensity 17.1; 47.19 deg, intensity 16.1; 68.55 deg, intensity 20.4; 68.87 deg, intensity 10.7

Record 8
SnHg3N: theoretical powder XRD pattern (Cu Kα X-rays), based on the PBE geometry in Alexandria.
Intensities are scaled so that the largest is 100.

Atomic structure:
a = 4.841 Å, b = 4.841 Å, c = 4.841 Å
α = 90.00°, β = 90.00°, γ = 90.00°
Element x y z (fractional)
Sn  0.000  0.000  0.000
Hg  0.000  0.500  0.500
Hg  0.500  0.000  0.500
Hg  0.500  0.500  0.000
N  0.500  0.500  0.500

The 6 most intense peaks (10° ≤ 2θ ≤ 80°), in order of rising 2θ:
32.02 deg, intensity 100.0; 37.14 deg, intensity 54.8; 53.54 deg, intensity 38.7; 63.76 deg, intensity 43.6; 66.96 deg, intensity 13.3; 79.14 deg, intensity 6.4

Record 9
CePaAu: theoretical powder XRD pattern (Cu Kα X-rays), based on the PBE geometry in Alexandria.
Intensities are scaled so that the largest is 100.

Atomic structure:
a = 5.105 Å, b = 5.105 Å, c = 2.926 Å
α = 90.00°, β = 90.00°, γ = 120.00°
Element x y z (fractional)
Ce  0.000  0.000  0.000
Pa  0.667  0.333  0.000
Au  0.333  0.667  0.500

The 6 most intense peaks (10° ≤ 2θ ≤ 80°), in order of rising 2θ:
35.16 deg, intensity 100.0; 36.84 deg, intensity 83.9; 51.84 deg, intensity 32.0; 63.08 deg, intensity 18.8; 64.18 deg, intensity 34.0; 74.80 deg, intensity 23.1

Record 10
Na2GaSn2Hg: theoretical powder XRD pattern (Cu Kα X-rays), based on the PBE geometry in Alexandria.
Intensities are scaled so that the largest is 100.

Atomic structure:
a = 9.101 Å, b = 9.101 Å, c = 9.101 Å
α = 138.69°, β = 59.51°, γ = 139.14°
Element x y z (fractional)
Na  0.172  0.217  0.390
Na  0.328  0.717  0.045
Na  0.672  0.283  0.955
Na  0.828  0.783  0.610
Ga  0.250  0.750  0.500
Ga  0.750  0.250  0.500
Sn  0.120  0.720  0.840
Sn  0.380  0.220  0.600
Sn  0.620  0.780  0.400
Sn  0.880  0.280  0.160
Hg  0.250  0.250  0.000
Hg  0.750  0.750  0.000

The 6 most intense peaks (10° ≤ 2θ ≤ 80°), in order of rising 2θ:
11.20 deg, intensity 100.0; 22.68 deg, intensity 48.3; 30.05 deg, intensity 28.7; 36.05 deg, intensity 51.2; 36.29 deg, intensity 53.9; 39.92 deg, intensity 43.3

Record 11
Nd3SiHg: theoretical powder XRD pattern (Cu Kα X-rays), based on the PBE geometry in Alexandria.
Intensities are scaled so that the largest is 100.

Atomic structure:
a = 9.343 Å, b = 8.549 Å, c = 7.221 Å
α = 90.00°, β = 97.94°, γ = 90.00°
Element x y z (fractional)
Nd  0.110  0.201  0.031
Nd  0.110  0.299  0.531
Nd  0.222  0.630  0.824
Nd  0.222  0.870  0.324
Nd  0.381  0.514  0.303
Nd  0.381  0.986  0.803
Nd  0.619  0.014  0.197
Nd  0.619  0.486  0.697
Nd  0.778  0.130  0.676
Nd  0.778  0.370  0.176
Nd  0.890  0.701  0.469
Nd  0.890  0.799  0.969
Si  0.063  0.540  0.180
Si  0.063  0.960  0.680
Si  0.937  0.040  0.320
Si  0.937  0.460  0.820
Hg  0.435  0.185  0.455
Hg  0.435  0.315  0.955
Hg  0.565  0.685  0.045
Hg  0.565  0.815  0.545

The 6 most intense peaks (10° ≤ 2θ ≤ 80°), in order of rising 2θ:
29.38 deg, intensity 38.6; 29.90 deg, intensity 57.8; 30.82 deg, intensity 58.2; 32.19 deg, intensity 55.5; 32.65 deg, intensity 44.6; 34.78 deg, intensity 100.0

Record 12
LiAl2Ga: theoretical powder XRD pattern (Cu Kα X-rays), based on the PBE geometry in Alexandria.
Intensities are scaled so that the largest is 100.

Atomic structure:
a = 2.831 Å, b = 4.997 Å, c = 5.083 Å
α = 67.02°, β = 88.42°, γ = 89.18°
Element x y z (fractional)
Li  0.000  0.000  0.000
Al  0.498  0.000  0.500
Al  0.998  0.500  0.500
Ga  0.500  0.500  0.000

The 6 most intense peaks (10° ≤ 2θ ≤ 80°), in order of rising 2θ:
19.29 deg, intensity 100.0; 21.15 deg, intensity 80.7; 37.89 deg, intensity 68.0; 38.49 deg, intensity 65.0; 38.81 deg, intensity 63.5; 39.16 deg, intensity 61.9

Record 13
LiCu5Cl12: theoretical powder XRD pattern (Cu Kα X-rays), based on the PBE geometry in Alexandria.
Intensities are scaled so that the largest is 100.

Atomic structure:
a = 5.837 Å, b = 6.386 Å, c = 12.913 Å
α = 91.28°, β = 100.41°, γ = 115.93°
Element x y z (fractional)
Li  0.000  0.000  0.000
Cu  0.166  0.333  0.500
Cu  0.333  0.659  0.001
Cu  0.500  0.000  0.500
Cu  0.667  0.341  0.999
Cu  0.834  0.667  0.500
Cl  0.043  0.641  0.102
Cl  0.166  0.038  0.390
Cl  0.166  0.628  0.610
Cl  0.323  0.060  0.888
Cl  0.420  0.325  0.114
Cl  0.500  0.295  0.609
Cl  0.500  0.705  0.391
Cl  0.580  0.675  0.886
Cl  0.677  0.940  0.112
Cl  0.834  0.372  0.390
Cl  0.834  0.962  0.610
Cl  0.957  0.359  0.898

The 6 most intense peaks (10° ≤ 2θ ≤ 80°), in order of rising 2θ:
14.04 deg, intensity 100.0; 28.94 deg, intensity 20.1; 31.58 deg, intensity 15.2; 31.86 deg, intensity 15.1; 35.53 deg, intensity 13.5; 38.43 deg, intensity 11.9